1.
Structure and theoretical X-ray powder pattern of Li5Cd3Bi4 (a structure optimized by DFT (GGA-PBE); CuKα).
Kinematic intensities with the Lorentz-polarization factor, no thermal factor.

Structural model:
a b c (Å): 5.649 6.789 7.995
angles (deg): 102.84 93.28 100.24
Fractional positions:
Li: 0.000 0.000 0.000
Li: 0.229 0.547 0.923
Li: 0.347 0.231 0.565
Li: 0.653 0.769 0.435
Li: 0.771 0.453 0.077
Cd: 0.202 0.815 0.664
Cd: 0.500 0.000 0.000
Cd: 0.798 0.185 0.336
Bi: 0.154 0.813 0.283
Bi: 0.305 0.371 0.239
Bi: 0.695 0.629 0.761
Bi: 0.846 0.187 0.717

Main lines, sorted by position (2θ from 10° to 80°):
2theta, I/Imax
20.64, 86
22.94, 77
23.51, 76
29.04, 100
32.34, 56
34.04, 35
34.67, 59
37.77, 30
40.24, 30
48.06, 35

***

2.
Structure and theoretical X-ray powder pattern of Pr4SiHCl2 (a structure optimized by DFT (GGA-PBE); CuKα).
Kinematic intensities with the Lorentz-polarization factor, no thermal factor.

Structural model:
a b c (Å): 6.936 4.066 7.452
angles (deg): 90.00 107.26 90.00
Fractional positions:
Pr: 0.231 0.000 0.223
Pr: 0.241 0.500 0.785
Pr: 0.759 0.500 0.215
Pr: 0.769 0.000 0.777
Si: 0.500 0.000 0.000
H: 0.000 0.500 0.000
Cl: 0.000 0.000 0.500
Cl: 0.500 0.500 0.500

Main lines, sorted by position (2θ from 10° to 80°):
2theta, I/Imax
25.03, 33
26.81, 65
26.92, 32
30.39, 100
30.95, 44
42.45, 17
42.72, 30
44.57, 18
45.11, 32
55.25, 16

***

3.
Structure and theoretical X-ray powder pattern of Li2AgF5 (a structure optimized by DFT (GGA-PBE); CuKα).
Kinematic intensities with the Lorentz-polarization factor, no thermal factor.

Structural model:
a b c (Å): 5.409 10.211 8.002
angles (deg): 90.00 111.76 90.00
Fractional positions:
Li: 0.099 0.194 0.494
Li: 0.099 0.306 0.994
Li: 0.383 0.707 0.401
Li: 0.383 0.793 0.901
Li: 0.617 0.207 0.099
Li: 0.617 0.293 0.599
Li: 0.901 0.694 0.006
Li: 0.901 0.806 0.506
Ag: 0.165 0.514 0.725
Ag: 0.165 0.986 0.225
Ag: 0.835 0.014 0.775
Ag: 0.835 0.486 0.275
F: 0.047 0.668 0.825
F: 0.047 0.832 0.325
F: 0.108 0.592 0.217
F: 0.108 0.908 0.717
F: 0.257 0.129 0.090
F: 0.257 0.371 0.590
F: 0.357 0.641 0.630
F: 0.357 0.859 0.130
F: 0.417 0.146 0.486
F: 0.417 0.354 0.986
F: 0.583 0.646 0.014
F: 0.583 0.854 0.514
F: 0.643 0.141 0.870
F: 0.643 0.359 0.370
F: 0.743 0.629 0.410
F: 0.743 0.871 0.910
F: 0.892 0.092 0.283
F: 0.892 0.408 0.783
F: 0.953 0.168 0.675
F: 0.953 0.332 0.175

Main lines, sorted by position (2θ from 10° to 80°):
2theta, I/Imax
17.37, 44
17.66, 21
19.34, 100
23.94, 32
26.31, 41
29.74, 44
34.95, 26
39.27, 21
42.99, 26
43.33, 31

***

Repeat the second record exactly.
Structure and theoretical X-ray powder pattern of Pr4SiHCl2 (a structure optimized by DFT (GGA-PBE); CuKα).
Kinematic intensities with the Lorentz-polarization factor, no thermal factor.

Structural model:
a b c (Å): 6.936 4.066 7.452
angles (deg): 90.00 107.26 90.00
Fractional positions:
Pr: 0.231 0.000 0.223
Pr: 0.241 0.500 0.785
Pr: 0.759 0.500 0.215
Pr: 0.769 0.000 0.777
Si: 0.500 0.000 0.000
H: 0.000 0.500 0.000
Cl: 0.000 0.000 0.500
Cl: 0.500 0.500 0.500

Main lines, sorted by position (2θ from 10° to 80°):
2theta, I/Imax
25.03, 33
26.81, 65
26.92, 32
30.39, 100
30.95, 44
42.45, 17
42.72, 30
44.57, 18
45.11, 32
55.25, 16